Simulated X-ray diffraction stick pattern of LiTl6C2O6F2 for CuKα, from a cell relaxed with GGA-PBE.
Intensities are scaled so that the largest is 100.

The 6 most intense peaks (10 to 90 degrees two-theta), sorted by position:
- d = 3.690 Å, 24.1 deg, intensity 51.1, (1 -1 1)
- d = 3.617 Å, 24.6 deg, intensity 66.0, (1 1 -1)
- d = 3.378 Å, 26.4 deg, intensity 54.7, (1 1 2)
- d = 3.245 Å, 27.5 deg, intensity 66.2, (1 2 1)
- d = 3.142 Å, 28.4 deg, intensity 61.0, (-1 2 1)
- d = 3.040 Å, 29.4 deg, intensity 100.0, (2 0 0)

Structural model:
```
data_LiTl6C2O6F2
_chemical_formula_sum 'Li1 Tl6 C2 O6 F2'
_cell_length_a 6.0894
_cell_length_b 7.6098
_cell_length_c 8.0387
_cell_angle_alpha 71.62
_cell_angle_beta 86.94
_cell_angle_gamma 88.33
_symmetry_space_group_name_H-M 'P 1'
_symmetry_Int_Tables_number 1
loop_
_symmetry_equiv_pos_as_xyz
'x,y,z'
loop_
_atom_site_label
_atom_site_type_symbol
_atom_site_fract_x
_atom_site_fract_y
_atom_site_fract_z
Li1 Li 0.0000 0.0000 0.0000
Tl1 Tl 0.9998 0.6318 0.8709
Tl2 Tl 0.4801 0.9402 0.6466
Tl3 Tl 0.4866 0.1848 0.9972
Tl4 Tl 0.4941 0.5877 0.2001
Tl5 Tl 0.9596 0.2393 0.5765
Tl6 Tl 0.9858 0.7536 0.3933
C1 C 0.5330 0.5300 0.6480
C2 C 0.9516 0.2600 0.1798
O1 O 0.4887 0.5753 0.7900
O2 O 0.5371 0.3580 0.6530
O3 O 0.5740 0.6625 0.4991
O4 O 0.9240 0.1155 0.3176
O5 O 0.9379 0.4248 0.1966
O6 O 0.9929 0.2411 0.0252
F1 F 0.2642 0.8916 0.9753
F2 F 0.7780 0.8378 0.0859
```